Structure and computed powder diffraction line list of Li10Mn3Cr2Ni3O16 (DFT lattice parameters and positions (GGA+U); Cu Kα X-rays).
No peak broadening, texture or thermal motion is included.

Structure:
Cell: 5.961 5.961 9.784 Å, 91.11 91.11 59.94°
Fractional coordinates of all 34 atoms:
1 Li 0.000 0.000 0.000
2 Li 0.002 0.002 0.499
3 Li 0.189 0.623 0.075
4 Li 0.205 0.205 0.058
5 Li 0.337 0.337 0.285
6 Li 0.407 0.821 0.558
7 Li 0.623 0.189 0.075
8 Li 0.674 0.674 0.786
9 Li 0.813 0.813 0.570
10 Li 0.821 0.407 0.558
11 Mn 0.177 0.667 0.800
12 Mn 0.667 0.177 0.800
13 Mn 0.828 0.828 0.299
14 Cr 0.335 0.335 0.541
15 Cr 0.663 0.663 0.044
16 Ni 0.173 0.173 0.797
17 Ni 0.334 0.832 0.299
18 Ni 0.832 0.334 0.299
19 O 0.033 0.501 0.674
20 O 0.149 0.670 0.417
21 O 0.166 0.166 0.433
22 O 0.331 0.835 0.922
23 O 0.347 0.347 0.910
24 O 0.501 0.033 0.674
25 O 0.503 0.503 0.657
26 O 0.509 0.509 0.171
27 O 0.518 0.977 0.177
28 O 0.670 0.149 0.417
29 O 0.678 0.678 0.414
30 O 0.828 0.828 0.931
31 O 0.835 0.331 0.922
32 O 0.977 0.518 0.177
33 O 0.985 0.985 0.191
34 O 0.994 0.994 0.695

Principal peaks in the range 2θ = 10–90°, low angle first:
2theta, d/Å, intensity
18.14, 4.891, 100
19.36, 4.584, 60
19.57, 4.536, 79
34.78, 2.580, 33
35.91, 2.501, 37
36.14, 2.485, 54
44.26, 2.046, 35
44.55, 2.034, 59
45.06, 2.012, 59
62.34, 1.489, 84